Simulated powder diffraction line list
Compound: Dy6AgC3
Radiation: λ = 1.5418 Å (Cu Kα)
Structure: a PBE-relaxed structure
Neutral-atom scattering factors, no anomalous dispersion.

Main lines, in order of falling intensity (10° ≤ 2θ ≤ 90°):
| two_theta | intensity |
| --- | --- |
| 32.4 | 100.0 |
| 31.1 | 82.9 |
| 31.7 | 76.3 |
| 50.6 | 59.0 |
| 29.8 | 38.5 |
| 29.4 | 38.3 |

Crystal structure
```
20
Lattice="10.9512 0.0000 0.0000 0.0000 3.6063 0.0000 -3.6014 0.0000 10.9287" Properties=species:S:1:pos:R:3 pbc="T T T"
Dy -0.9600 0.9016 4.1700
Dy 1.0907 2.7047 1.5242
Dy 0.3933 0.9016 7.3127
Dy 1.9530 2.7047 4.7561
Dy 0.5710 2.7047 10.3899
Dy 4.0283 0.9016 2.5748
Dy 3.3215 2.7047 8.3539
Dy 6.7788 0.9016 0.5388
Dy 5.3968 0.9016 6.1727
Dy 6.9565 2.7047 3.6160
Dy 6.2590 0.9016 9.4045
Dy 8.3098 2.7047 6.7587
Ag -1.7907 0.9016 9.7012
Ag 9.1405 2.7047 1.2275
C -0.2462 2.7047 5.8035
C 1.5862 0.9016 3.1311
C 1.9591 0.9016 9.3559
C 5.3907 2.7047 1.5729
C 5.7636 2.7047 7.7977
C 7.5960 0.9016 5.1252
```



Simulated powder diffraction line list
Compound: TaVRu2
Radiation: λ = 1.5418 Å (Cu Kα)
Structure: a PBE-relaxed structure
Neutral-atom scattering factors, no anomalous dispersion.

Main lines, in order of falling intensity (10° ≤ 2θ ≤ 90°):
| two_theta | intensity |
| --- | --- |
| 40.5 | 100.0 |
| 43.1 | 44.7 |
| 77.3 | 29.1 |
| 33.0 | 27.5 |
| 13.1 | 15.6 |
| 71.8 | 14.6 |

Crystal structure
```
4
Lattice="2.9679 0.0000 0.0000 0.0000 2.9679 0.0000 0.0000 0.0000 6.7407" Properties=species:S:1:pos:R:3 pbc="T T T"
Ta 0.0000 0.0000 0.0000
V 0.0000 0.0000 3.3704
Ru 1.4839 1.4839 1.8863
Ru 1.4839 1.4839 4.8545
```



Simulated powder diffraction line list
Compound: Tb3MgTl2
Radiation: λ = 1.5418 Å (Cu Kα)
Structure: a PBE-relaxed structure
Neutral-atom scattering factors, no anomalous dispersion.

Main lines, in order of falling intensity (10° ≤ 2θ ≤ 90°):
| two_theta | intensity |
| --- | --- |
| 33.3 | 100.0 |
| 33.5 | 50.0 |
| 59.8 | 37.8 |
| 59.4 | 18.3 |
| 48.1 | 18.3 |
| 69.9 | 11.3 |

Crystal structure
```
6
Lattice="3.7828 0.0000 0.0000 0.0000 3.7828 0.0000 0.0000 0.0000 11.4859" Properties=species:S:1:pos:R:3 pbc="T T T"
Tb 0.0000 0.0000 0.0000
Tb 0.0000 0.0000 3.9052
Tb 0.0000 0.0000 7.5807
Mg 1.8914 1.8914 5.7429
Tl 1.8914 1.8914 2.0099
Tl 1.8914 1.8914 9.4760
```



Simulated powder diffraction line list
Compound: Pr5Si4
Radiation: λ = 1.5418 Å (Cu Kα)
Structure: a PBE-relaxed structure
Neutral-atom scattering factors, no anomalous dispersion.

Main lines, in order of falling intensity (10° ≤ 2θ ≤ 90°):
| two_theta | intensity |
| --- | --- |
| 32.4 | 100.0 |
| 30.7 | 60.8 |
| 33.3 | 37.4 |
| 35.9 | 37.1 |
| 51.0 | 33.0 |
| 28.5 | 29.0 |

Crystal structure
```
36
Lattice="7.9456 0.0000 0.0000 0.0000 7.9456 0.0000 0.0000 0.0000 15.3028" Properties=species:S:1:pos:R:3 pbc="T T T"
Pr 0.0877 3.0071 0.8027
Pr 0.1563 6.9407 1.8976
Pr 0.9657 4.0606 4.6284
Pr 1.0050 7.7893 5.7538
Pr 1.5208 6.4248 11.4771
Pr 2.4520 2.4520 7.6514
Pr 2.9678 3.8165 13.3748
Pr 3.0071 0.0877 14.5001
Pr 3.8165 2.9678 1.9281
Pr 3.8851 6.9799 3.0230
Pr 4.0606 0.9657 10.6744
Pr 4.1291 4.9778 9.5795
Pr 4.9385 7.8579 6.8487
Pr 4.9778 4.1291 5.7233
Pr 5.4937 5.4937 0.0000
Pr 6.4248 1.5208 3.8257
Pr 6.9407 0.1563 13.4052
Pr 6.9799 3.8851 12.2799
Pr 7.7893 1.0050 9.5491
Pr 7.8579 4.9385 8.4542
Si 0.6225 5.6538 14.3913
Si 1.3467 1.5527 12.2030
Si 1.5527 1.3467 3.0999
Si 1.6810 3.3503 10.5656
Si 2.2918 7.3231 8.5630
Si 2.4201 5.3195 0.7258
Si 2.6261 5.5255 6.9256
Si 3.3503 1.6810 4.7372
Si 4.5954 6.2647 12.3887
Si 5.3195 2.4201 14.5770
Si 5.5255 2.6261 8.3773
Si 5.6538 0.6225 0.9115
Si 6.2647 4.5954 2.9142
Si 6.3930 6.5989 10.7513
Si 6.5989 6.3930 4.5515
Si 7.3231 2.2918 6.7399
```



Simulated powder diffraction line list
Compound: FeSn2Pd9
Radiation: λ = 1.5418 Å (Cu Kα)
Structure: a PBE-relaxed structure
Neutral-atom scattering factors, no anomalous dispersion.

Main lines, in order of falling intensity (10° ≤ 2θ ≤ 90°):
| two_theta | intensity |
| --- | --- |
| 39.1 | 100.0 |
| 45.3 | 33.2 |
| 79.4 | 24.8 |
| 66.4 | 19.8 |
| 45.8 | 15.2 |
| 80.2 | 10.9 |

Crystal structure
```
12
Lattice="4.0060 0.0000 0.0000 0.0000 4.0060 0.0000 0.0000 0.0000 11.8912" Properties=species:S:1:pos:R:3 pbc="T T T"
Fe 0.0000 0.0000 0.0000
Sn 0.0000 0.0000 3.8954
Sn 0.0000 0.0000 7.9958
Pd 0.0000 2.0030 1.8721
Pd 0.0000 2.0030 5.9456
Pd 0.0000 2.0030 10.0191
Pd 2.0030 0.0000 1.8721
Pd 2.0030 0.0000 5.9456
Pd 2.0030 0.0000 10.0191
Pd 2.0030 2.0030 0.0000
Pd 2.0030 2.0030 3.9234
Pd 2.0030 2.0030 7.9678
```



Simulated powder diffraction line list
Compound: Cs2K2IrO4
Radiation: λ = 1.5418 Å (Cu Kα)
Structure: a PBE-relaxed structure
Neutral-atom scattering factors, no anomalous dispersion.

Main lines, in order of falling intensity (10° ≤ 2θ ≤ 90°):
| two_theta | intensity |
| --- | --- |
| 27.9 | 100.0 |
| 27.4 | 64.6 |
| 16.9 | 44.7 |
| 48.7 | 40.9 |
| 39.1 | 37.9 |
| 33.3 | 28.4 |

Crystal structure
```
9
Lattice="-3.2573 3.2573 4.4325 3.2573 -3.2573 4.4325 3.2573 3.2573 -4.4325" Properties=species:S:1:pos:R:3 pbc="T T T"
Cs 3.2573 0.0000 2.2162
Cs 0.0000 3.2573 2.2162
K 0.0000 0.0000 1.3557
K 0.0000 0.0000 7.5093
Ir 0.0000 0.0000 4.4325
O 1.8766 1.8766 0.0000
O 1.3807 -1.3807 4.4325
O -1.3807 1.3807 4.4325
O 1.3807 1.3807 4.4325
```



Simulated powder diffraction line list
Compound: PaZn2Ni6
Radiation: λ = 1.5418 Å (Cu Kα)
Structure: a PBE-relaxed structure
Neutral-atom scattering factors, no anomalous dispersion.

Main lines, in order of falling intensity (10° ≤ 2θ ≤ 90°):
| two_theta | intensity |
| --- | --- |
| 40.6 | 100.0 |
| 34.6 | 89.7 |
| 43.1 | 71.2 |
| 48.2 | 63.3 |
| 43.9 | 35.1 |
| 14.3 | 34.2 |

Crystal structure
```
9
Lattice="-1.5967 3.1882 6.1904 1.5967 -3.1882 6.1904 1.5967 3.1882 -6.1904" Properties=species:S:1:pos:R:3 pbc="T T T"
Pa 0.0000 0.0000 0.0000
Zn 1.5967 0.0000 4.4833
Zn 0.0000 3.1882 1.7071
Ni 1.5967 1.2094 -2.2562
Ni 1.5967 2.0261 0.0000
Ni 1.5967 1.2094 2.2562
Ni 0.0000 1.9788 3.9342
Ni 0.0000 1.1621 6.1904
Ni 0.0000 1.9788 8.4465
```



Simulated powder diffraction line list
Compound: LiY4S6
Radiation: λ = 1.5418 Å (Cu Kα)
Structure: a PBE-relaxed structure
Neutral-atom scattering factors, no anomalous dispersion.

Main lines, in order of falling intensity (10° ≤ 2θ ≤ 90°):
| two_theta | intensity |
| --- | --- |
| 26.0 | 100.0 |
| 33.7 | 79.3 |
| 32.1 | 78.0 |
| 31.2 | 70.8 |
| 45.6 | 63.3 |
| 47.7 | 59.6 |

Crystal structure
```
22
Lattice="1.9507 -6.4939 0.0000 1.9507 6.4939 0.0000 0.0000 0.0000 20.2120" Properties=species:S:1:pos:R:3 pbc="T T T"
Li 1.9507 4.1753 15.1590
Li 1.9507 -4.1753 5.0530
Y 1.9507 5.2352 2.8170
Y 1.9507 5.2352 7.2890
Y 1.9507 1.7182 0.9167
Y 1.9507 1.7182 9.1893
Y 1.9507 -1.7182 11.0227
Y 1.9507 -1.7182 19.2953
Y 1.9507 -5.2352 12.9230
Y 1.9507 -5.2352 17.3951
S 0.0000 0.0000 0.0000
S 0.0000 0.0000 10.1060
S 1.9507 3.8648 5.0530
S 1.9507 2.9156 11.7311
S 1.9507 2.9156 18.5870
S 1.9507 0.5131 3.2841
S 1.9507 0.5131 6.8219
S 1.9507 -0.5131 13.3901
S 1.9507 -0.5131 16.9280
S 1.9507 -2.9156 1.6250
S 1.9507 -2.9156 8.4810
S 1.9507 -3.8648 15.1590
```